Simulated powder diffraction line list of LiVPHO5 for Cu Kα, 1.54184 Å, from a cell relaxed with GGA+U.

Main lines, in order of rising 2θ (10 to 90 degrees two-theta):
2θ (°), I (rel.)
17.55, 31
18.46, 39
18.68, 41
25.56, 36
25.67, 32
26.51, 100
26.67, 98
28.85, 85
35.79, 36
55.53, 30

```
LiVPHO5
1.0
5.1778 0.0000 0.0000
-0.7607 5.3900 0.0000
-2.3571 -2.4402 6.5909
Li V P H O
2 2 2 2 10
Cartesian
0.1986 1.3284 2.1536
1.8614 1.6213 4.4374
2.5889 0.0000 0.0000
1.4103 -1.2201 3.2955
-1.0866 0.1661 4.8138
3.1466 2.7836 1.7771
-0.3942 4.6798 1.0539
2.4542 -1.7301 5.5370
-0.9032 2.9678 2.8235
-1.4599 1.4920 5.5304
-1.0584 -1.0297 5.7867
1.1782 -0.3094 1.4642
0.2797 0.3240 4.0634
1.7803 2.6258 2.5275
0.8818 3.2592 5.1267
3.1184 3.9795 0.8042
3.5199 1.4577 1.0605
2.9632 -0.0180 3.7674
```